No. 1
The following is a theoretical XRD peak list of PPbO4. It was derived from DFT lattice parameters and positions (PBE), using Cu Kα, 1.54184 Å.

Peak list (10 most intense, 2θ from 10° to 90°, in order of rising 2θ)
- 18.0°, d = 4.916 Å, rel. 25
- 22.2°, d = 4.012 Å, rel. 74
- 25.6°, d = 3.474 Å, rel. 100
- 28.7°, d = 3.108 Å, rel. 58
- 36.6°, d = 2.457 Å, rel. 49
- 38.9°, d = 2.317 Å, rel. 23
- 41.1°, d = 2.198 Å, rel. 26
- 43.2°, d = 2.095 Å, rel. 41
- 49.0°, d = 1.857 Å, rel. 29
- 54.4°, d = 1.686 Å, rel. 31

Cell lengths 6.9465, 4.9163, 4.9137 Å; angles 90.00, 90.00, 90.00 degrees
Fractional positions:
P 0.0000 0.1749 0.0000
P 0.5000 0.8251 0.5000
Pb 0.0000 0.6334 0.5316
Pb 0.5000 0.3666 0.0316
O 0.0000 0.2048 0.3146
O 0.0000 0.8643 0.9496
O 0.1752 0.3213 0.8636
O 0.3248 0.6787 0.3636
O 0.5000 0.1357 0.4496
O 0.5000 0.7952 0.8146
O 0.6752 0.6787 0.3636
O 0.8248 0.3213 0.8636


No. 2
The following is a theoretical XRD peak list of NdMg3Au4. It was derived from DFT lattice parameters and positions (PBE), using Cu Kα, 1.54184 Å.

Peak list (10 most intense, 2θ from 10° to 90°, in order of rising 2θ)
- 25.9°, d = 3.439 Å, rel. 74
- 27.9°, d = 3.195 Å, rel. 16
- 32.7°, d = 2.735 Å, rel. 27
- 35.5°, d = 2.532 Å, rel. 85
- 38.4°, d = 2.343 Å, rel. 100
- 46.9°, d = 1.936 Å, rel. 16
- 53.3°, d = 1.720 Å, rel. 27
- 67.3°, d = 1.390 Å, rel. 22
- 67.6°, d = 1.386 Å, rel. 26
- 69.5°, d = 1.353 Å, rel. 18

Cell lengths 9.0512, 9.0512, 9.0512 Å; angles 30.01, 30.01, 30.01 degrees
Fractional positions:
Nd 0.0000 0.0000 0.0000
Mg 0.2406 0.2406 0.2406
Mg 0.5000 0.5000 0.5000
Mg 0.7594 0.7594 0.7594
Au 0.1276 0.1276 0.1276
Au 0.3938 0.3938 0.3938
Au 0.6062 0.6062 0.6062
Au 0.8724 0.8724 0.8724


No. 3
The following is a theoretical XRD peak list of SnGePd. It was derived from DFT lattice parameters and positions (PBE), using Cu Kα, 1.54184 Å.

Peak list (10 most intense, 2θ from 10° to 90°, in order of rising 2θ)
- 24.4°, d = 3.653 Å, rel. 38
- 28.2°, d = 3.163 Å, rel. 11
- 40.3°, d = 2.237 Å, rel. 100
- 47.7°, d = 1.907 Å, rel. 18
- 58.3°, d = 1.582 Å, rel. 17
- 64.2°, d = 1.451 Å, rel. 8
- 66.0°, d = 1.415 Å, rel. 4
- 73.3°, d = 1.291 Å, rel. 35
- 78.6°, d = 1.218 Å, rel. 6
- 87.2°, d = 1.118 Å, rel. 11

Cell lengths 4.4735, 4.4735, 4.4735 Å; angles 60.00, 60.00, 60.00 degrees
Fractional positions:
Sn 0.0000 0.0000 0.0000
Ge 0.5000 0.5000 0.5000
Pd 0.7500 0.7500 0.7500


No. 4
The following is a theoretical XRD peak list of Sm4HgPb2. It was derived from DFT lattice parameters and positions (PBE), using Cu Kα, 1.54184 Å.

Peak list (10 most intense, 2θ from 10° to 90°, in order of rising 2θ)
- 26.7°, d = 3.336 Å, rel. 42
- 30.5°, d = 2.928 Å, rel. 94
- 31.2°, d = 2.869 Å, rel. 100
- 31.4°, d = 2.848 Å, rel. 35
- 31.6°, d = 2.830 Å, rel. 60
- 32.6°, d = 2.749 Å, rel. 52
- 34.1°, d = 2.626 Å, rel. 31
- 34.9°, d = 2.574 Å, rel. 58
- 55.1°, d = 1.667 Å, rel. 50
- 64.6°, d = 1.442 Å, rel. 26

Cell lengths 5.9093, 6.6714, 10.8066 Å; angles 90.00, 98.15, 90.00 degrees
Fractional positions:
Sm 0.1262 0.2500 0.1200
Sm 0.2318 0.7500 0.4428
Sm 0.3313 0.0081 0.7324
Sm 0.3313 0.4919 0.7324
Sm 0.6687 0.5081 0.2676
Sm 0.6687 0.9919 0.2676
Sm 0.7682 0.2500 0.5572
Sm 0.8738 0.7500 0.8800
Hg 0.0742 0.7500 0.1703
Hg 0.9258 0.2500 0.8297
Pb 0.2344 0.2500 0.4303
Pb 0.4189 0.7500 0.0042
Pb 0.5811 0.2500 0.9958
Pb 0.7656 0.7500 0.5697


No. 5
The following is a theoretical XRD peak list of Nd2Ge7Au12. It was derived from DFT lattice parameters and positions (PBE), using Cu Kα, 1.54184 Å.

Peak list (10 most intense, 2θ from 10° to 90°, in order of rising 2θ)
- 32.9°, d = 2.724 Å, rel. 100
- 35.2°, d = 2.552 Å, rel. 11
- 38.3°, d = 2.350 Å, rel. 15
- 41.5°, d = 2.174 Å, rel. 16
- 44.7°, d = 2.028 Å, rel. 14
- 47.1°, d = 1.929 Å, rel. 15
- 47.3°, d = 1.922 Å, rel. 13
- 62.3°, d = 1.491 Å, rel. 9
- 65.8°, d = 1.419 Å, rel. 9
- 78.4°, d = 1.220 Å, rel. 9

Cell lengths 10.2095, 10.2095, 4.7002 Å; angles 90.00, 90.00, 120.00 degrees
Fractional positions:
Nd 0.3333 0.6667 0.2279
Nd 0.6667 0.3333 0.7721
Ge 0.0000 0.0000 0.5000
Ge 0.1130 0.7245 0.6697
Ge 0.2755 0.3885 0.6697
Ge 0.3885 0.1130 0.3303
Ge 0.6115 0.8870 0.6697
Ge 0.7245 0.6115 0.3303
Ge 0.8870 0.2755 0.3303
Au 0.0683 0.4604 0.7721
Au 0.1271 0.2666 0.1785
Au 0.1395 0.8729 0.1785
Au 0.2666 0.1395 0.8215
Au 0.3921 0.9317 0.7721
Au 0.4604 0.3921 0.2279
Au 0.5396 0.6079 0.7721
Au 0.6079 0.0683 0.2279
Au 0.7334 0.8605 0.1785
Au 0.8605 0.1271 0.8215
Au 0.8729 0.7334 0.8215
Au 0.9317 0.5396 0.2279


No. 6
The following is a theoretical XRD peak list of Ac2Ga3. It was derived from DFT lattice parameters and positions (PBE), using Cu Kα, 1.54184 Å.

Peak list (10 most intense, 2θ from 10° to 90°, in order of rising 2θ)
- 19.9°, d = 4.456 Å, rel. 24
- 27.5°, d = 3.244 Å, rel. 90
- 29.4°, d = 3.038 Å, rel. 21
- 30.6°, d = 2.917 Å, rel. 100
- 35.6°, d = 2.525 Å, rel. 55
- 36.8°, d = 2.442 Å, rel. 69
- 49.6°, d = 1.837 Å, rel. 26
- 51.0°, d = 1.791 Å, rel. 17
- 52.9°, d = 1.730 Å, rel. 22
- 59.2°, d = 1.561 Å, rel. 16

Cell lengths 6.2459, 6.2459, 8.1958 Å; angles 90.00, 90.00, 121.80 degrees
Fractional positions:
Ac 0.1564 0.8436 0.8991
Ac 0.3436 0.6564 0.3991
Ac 0.6564 0.3436 0.6009
Ac 0.8436 0.1564 0.1009
Ga 0.0000 0.0000 0.5000
Ga 0.1523 0.3477 0.7500
Ga 0.3477 0.1523 0.2500
Ga 0.5000 0.5000 0.0000
Ga 0.6523 0.8477 0.7500
Ga 0.8477 0.6523 0.2500